[1]
# Nd4CO2
Theoretical XRD peak list, λ = 1.5418 Å (Cu Kα). Input: the PBE geometry in Alexandria.
Peak positions follow from Bragg's law for the DFT cell and can differ from measured ones.

Crystal structure
a = 7.449 Å, b = 7.449 Å, c = 10.510 Å
α = 90.00°, β = 90.00°, γ = 90.00°
Positions (direct):
Nd: 0.003 0.243 0.247
Nd: 0.003 0.757 0.253
Nd: 0.242 0.480 0.996
Nd: 0.242 0.520 0.504
Nd: 0.243 0.003 0.503
Nd: 0.243 0.997 0.997
Nd: 0.480 0.242 0.754
Nd: 0.480 0.758 0.746
Nd: 0.520 0.242 0.246
Nd: 0.520 0.758 0.254
Nd: 0.757 0.003 0.497
Nd: 0.757 0.997 0.003
Nd: 0.758 0.480 0.004
Nd: 0.758 0.520 0.496
Nd: 0.997 0.243 0.753
Nd: 0.997 0.757 0.747
C: 0.244 0.500 0.750
C: 0.500 0.244 0.000
C: 0.500 0.756 0.500
C: 0.756 0.500 0.250
O: 0.000 0.246 0.000
O: 0.000 0.754 0.500
O: 0.246 0.000 0.750
O: 0.264 0.264 0.375
O: 0.264 0.736 0.125
O: 0.736 0.264 0.625
O: 0.736 0.736 0.875
O: 0.754 0.000 0.250

Largest 12 diffraction maxima, by angle, 10 to 80 degrees two-theta:
6.078 Å, I = 1; 3.039 Å, I = 100; 2.632 Å, I = 58; 2.026 Å, I = 2; 1.861 Å, I = 45; 1.645 Å, I = 1; 1.588 Å, I = 27; 1.585 Å, I = 15; 1.519 Å, I = 13; 1.317 Å, I = 4; 1.314 Å, I = 2; 1.207 Å, I = 16

[2]
# MgNpHgBi
Theoretical XRD peak list, λ = 1.5418 Å (Cu Kα). Input: the PBE geometry in Alexandria.
Peak positions follow from Bragg's law for the DFT cell and can differ from measured ones.

Crystal structure
a = 5.294 Å, b = 5.294 Å, c = 5.294 Å
α = 60.00°, β = 60.00°, γ = 60.00°
Positions (direct):
Mg: 0.000 0.000 0.000
Np: 0.500 0.500 0.500
Hg: 0.750 0.750 0.750
Bi: 0.250 0.250 0.250

Largest 12 diffraction maxima, by angle, 10 to 80 degrees two-theta:
4.323 Å, I = 21; 3.744 Å, I = 6; 2.647 Å, I = 100; 2.258 Å, I = 12; 2.161 Å, I = 2; 1.872 Å, I = 18; 1.718 Å, I = 5; 1.674 Å, I = 3; 1.528 Å, I = 39; 1.441 Å, I = 4; 1.324 Å, I = 12; 1.266 Å, I = 4